Structure and theoretical X-ray powder pattern of Li2Sm3In3 (a PBE-relaxed structure; Cu Kα (weighted mean of Kα1 and Kα2)).
Neutral-atom scattering factors, no anomalous dispersion.

Cell and atoms:
```
8
Lattice="8.820 -2.337 0.000 8.820 2.337 0.000 -1.373 0.000 4.737" Properties=species:S:1:pos:R:3 pbc="T T T"
Li 3.944 0.000 1.150
Li 12.323 0.000 3.587
Sm 0.000 0.000 0.000
Sm 1.623 0.000 3.043
Sm 14.644 0.000 1.694
In 5.020 0.000 4.029
In 8.133 0.000 2.368
In 11.246 0.000 0.708
```

Principal peaks in the range 15 to 90 degrees two-theta, in order of falling intensity:
- 33.9°, d = 2.648 Å, I = 100
- 28.3°, d = 3.149 Å, I = 44
- 36.4°, d = 2.466 Å, I = 24
- 38.5°, d = 2.337 Å, I = 21
- 31.7°, d = 2.824 Å, I = 21
- 61.1°, d = 1.516 Å, I = 18
- 54.1°, d = 1.696 Å, I = 16
- 63.9°, d = 1.456 Å, I = 16
- 66.7°, d = 1.402 Å, I = 14
- 49.0°, d = 1.857 Å, I = 12


Structure and theoretical X-ray powder pattern of ErTm2In5 (a PBE-relaxed structure; Cu Kα (weighted mean of Kα1 and Kα2)).
Neutral-atom scattering factors, no anomalous dispersion.

Cell and atoms:
```
8
Lattice="-3.523 3.523 4.107 3.523 -3.523 4.107 3.523 3.523 -4.107" Properties=species:S:1:pos:R:3 pbc="T T T"
Er 0.000 0.000 0.000
Tm 3.523 0.000 3.466
Tm 0.000 3.523 3.466
In 0.000 0.000 3.209
In 1.984 1.984 1.479
In 1.539 -1.539 5.586
In -1.539 1.539 5.586
In 1.539 1.539 5.586
```

Principal peaks in the range 15 to 90 degrees two-theta, in order of falling intensity:
- 33.5°, d = 2.674 Å, I = 100
- 36.1°, d = 2.491 Å, I = 45
- 63.2°, d = 1.471 Å, I = 24
- 51.9°, d = 1.761 Å, I = 13
- 58.2°, d = 1.584 Å, I = 12
- 35.2°, d = 2.552 Å, I = 10
- 58.0°, d = 1.591 Å, I = 10
- 30.4°, d = 2.942 Å, I = 10
- 39.9°, d = 2.258 Å, I = 9
- 44.1°, d = 2.053 Å, I = 8


Repeat the second record exactly.
Structure and theoretical X-ray powder pattern of ErTm2In5 (a PBE-relaxed structure; Cu Kα (weighted mean of Kα1 and Kα2)).
Neutral-atom scattering factors, no anomalous dispersion.

Cell and atoms:
```
8
Lattice="-3.523 3.523 4.107 3.523 -3.523 4.107 3.523 3.523 -4.107" Properties=species:S:1:pos:R:3 pbc="T T T"
Er 0.000 0.000 0.000
Tm 3.523 0.000 3.466
Tm 0.000 3.523 3.466
In 0.000 0.000 3.209
In 1.984 1.984 1.479
In 1.539 -1.539 5.586
In -1.539 1.539 5.586
In 1.539 1.539 5.586
```

Principal peaks in the range 15 to 90 degrees two-theta, in order of falling intensity:
- 33.5°, d = 2.674 Å, I = 100
- 36.1°, d = 2.491 Å, I = 45
- 63.2°, d = 1.471 Å, I = 24
- 51.9°, d = 1.761 Å, I = 13
- 58.2°, d = 1.584 Å, I = 12
- 35.2°, d = 2.552 Å, I = 10
- 58.0°, d = 1.591 Å, I = 10
- 30.4°, d = 2.942 Å, I = 10
- 39.9°, d = 2.258 Å, I = 9
- 44.1°, d = 2.053 Å, I = 8